Record 1
For Fe2H4O2F5, a GGA+U-relaxed structure gives the simulated XRD peak list in this record (a wavelength of 1.5418 Å).

Structure:
a b c (Å): 7.6131 11.1707 6.5788
angles (deg): 90.00 90.00 90.00
Space group Imma (No. 74)
Symmetry-distinct sites (fractional):
Fe: 0.0000 0.0000 0.0000 x4
Fe: 0.2500 0.2500 0.2500 x4
H: 0.1037 0.0886 0.6208 x16
O: 0.0000 0.0642 0.7006 x8
F: 0.0000 0.2500 0.3347 x4
F: 0.2087 0.1253 0.0476 x16

Main lines, by angle (2θ from 15° to 90°):
2θ 15.6, I 100, (0 1 1); 2θ 23.9, I 43, (1 2 1); 2θ 27.5, I 38, (0 3 1); 2θ 28.2, I 38, (2 1 1); 2θ 28.4, I 58, (2 2 0); 2θ 49.0, I 41, (2 4 2)

---

Record 2
For MgCo6O8F4, a GGA+U-relaxed structure gives the simulated XRD peak list in this record (a wavelength of 1.5418 Å).

Structure:
a b c (Å): 5.0709 5.0789 8.5694
angles (deg): 87.63 87.57 76.78
Space group P1 (No. 1)
Symmetry-distinct sites (fractional):
Mg: 0.0000 0.0000 0.0000 x1
Co: 0.0188 0.4380 0.6319 x1
Co: 0.0548 0.4770 0.3283 x1
Co: 0.0797 0.4844 0.9933 x1
Co: 0.4749 0.8855 0.1709 x1
Co: 0.5305 0.9479 0.8179 x1
Co: 0.6026 0.0234 0.4881 x1
O: 0.2147 0.6853 0.1632 x1
O: 0.3427 0.1392 0.9897 x1
O: 0.3658 0.1668 0.3277 x1
O: 0.3732 0.1763 0.6527 x1
O: 0.7352 0.7741 0.9898 x1
O: 0.7399 0.7766 0.3301 x1
O: 0.7450 0.7853 0.6507 x1
O: 0.8682 0.2801 0.4847 x1
F: 0.2180 0.7253 0.8321 x1
F: 0.2216 0.6458 0.4983 x1
F: 0.8784 0.2799 0.1535 x1
F: 0.8798 0.2807 0.8302 x1

Main lines, by angle (2θ from 15° to 90°):
2θ 22.4, I 100, (1 1 0); 2θ 28.3, I 79, (1 -1 0); 2θ 35.8, I 45, (1 0 3); 2θ 36.9, I 35, (1 0 -3); 2θ 37.8, I 27, (2 1 1); 2θ 55.9, I 26, (1 -2 3)

---

Record 3
For Li7Si2Ni3O12, a GGA+U-relaxed structure gives the simulated XRD peak list in this record (a wavelength of 1.5418 Å).

Structure:
a b c (Å): 4.8750 8.4822 9.7409
angles (deg): 90.00 100.00 90.00
Space group C2/m (No. 12)
Symmetry-distinct sites (fractional):
Li: 0.0000 0.0000 0.0000 x2
Li: 0.2422 0.0000 0.7533 x4
Li: 0.2421 0.1627 0.2461 x8
Si: 0.0000 0.3332 0.0000 x4
Ni: 0.0000 0.1672 0.5000 x4
Ni: 0.0000 0.5000 0.5000 x2
O: 0.0920 0.5000 0.8957 x4
O: 0.1164 0.0000 0.3815 x4
O: 0.1456 0.3280 0.3865 x8
O: 0.1502 0.1864 0.8959 x8

Main lines, by angle (2θ from 15° to 90°):
2θ 18.5, I 100, (0 0 2); 2θ 37.3, I 22, (1 3 -1); 2θ 44.7, I 56, (1 3 -3); 2θ 45.1, I 27, (2 0 2); 2θ 64.4, I 15, (1 3 5); 2θ 66.3, I 14, (3 3 -1)

---

Record 4
For Sr2HfWO6, a GGA+U-relaxed structure gives the simulated XRD peak list in this record (a wavelength of 1.5418 Å).

Structure:
a b c (Å): 8.2347 8.2347 8.2347
angles (deg): 90.00 90.00 90.00
Space group Fm-3m (No. 225)
Symmetry-distinct sites (fractional):
Sr: 0.2500 0.2500 0.2500 x8
Hf: 0.0000 0.0000 0.0000 x4
W: 0.0000 0.0000 0.5000 x4
O: 0.0000 0.0000 0.2505 x24

Main lines, by angle (2θ from 15° to 90°):
2θ 21.6, I 22, (2 0 0); 2θ 30.7, I 100, (2 2 0); 2θ 44.0, I 29, (4 0 0); 2θ 54.6, I 41, (4 2 2); 2θ 64.0, I 18, (4 4 0); 2θ 88.9, I 22, (6 4 2)

---

Record 5
For Li9Mn2Co5O16, a GGA+U-relaxed structure gives the simulated XRD peak list in this record (a wavelength of 1.5418 Å).

Structure:
a b c (Å): 15.3955 2.9276 12.9596
angles (deg): 90.00 91.74 90.00
Space group C2/m (No. 12)
Symmetry-distinct sites (fractional):
Li: 0.0000 0.0000 0.0000 x2
Li: 0.0555 0.5000 0.1735 x4
Li: 0.0599 0.0000 0.6919 x4
Li: 0.1861 0.0000 0.0616 x4
Li: 0.1859 0.5000 0.5626 x4
Mn: 0.2480 0.0000 0.7515 x4
Co: 0.0000 0.5000 0.5000 x2
Co: 0.1160 0.5000 0.8896 x4
Co: 0.1241 0.0000 0.3762 x4
O: 0.0370 0.0000 0.8417 x4
O: 0.0378 0.5000 0.3512 x4
O: 0.0900 0.0000 0.5268 x4
O: 0.0988 0.5000 0.0251 x4
O: 0.1678 0.0000 0.2251 x4
O: 0.1676 0.5000 0.7203 x4
O: 0.2135 0.5000 0.3969 x4
O: 0.2149 0.0000 0.8908 x4

Main lines, by angle (2θ from 15° to 90°):
2θ 18.2, I 100, (2 0 2); 2θ 35.9, I 26, (3 1 -1); 2θ 43.2, I 26, (2 0 -6); 2θ 43.4, I 55, (5 1 1); 2θ 62.5, I 21, (3 1 7); 2θ 63.2, I 14, (7 1 -5)

---

Record 6
For Li9Mn2Co5O16, a GGA+U-relaxed structure gives the simulated XRD peak list in this record (a wavelength of 1.5418 Å).

Structure:
a b c (Å): 5.0900 5.7679 9.7095
angles (deg): 90.00 98.87 90.00
Space group P2 (No. 3)
Symmetry-distinct sites (fractional):
Li: 0.0000 0.0000 0.0000 x1
Li: 0.2401 0.7524 0.2344 x2
Li: 0.2468 0.9996 0.7672 x2
Li: 0.2498 0.2485 0.2385 x2
Li: 0.2622 0.5028 0.7616 x2
Mn: 0.0000 0.2565 0.5000 x1
Mn: 0.5000 0.0023 0.5000 x1
Co: 0.0000 0.4997 0.0000 x1
Co: 0.0000 0.7498 0.5000 x1
Co: 0.5000 0.2407 0.0000 x1
Co: 0.5000 0.4984 0.5000 x1
Co: 0.5000 0.7473 0.0000 x1
O: 0.1230 0.2706 0.8847 x2
O: 0.1411 0.7349 0.8917 x2
O: 0.1440 0.0074 0.3892 x2
O: 0.1439 0.4970 0.3906 x2
O: 0.3696 0.7498 0.6069 x2
O: 0.3809 0.5052 0.1157 x2
O: 0.3922 0.2475 0.6138 x2
O: 0.3977 0.9927 0.1177 x2

Main lines, by angle (2θ from 15° to 90°):
2θ 18.5, I 100, (0 0 2); 2θ 35.7, I 14, (2 0 0); 2θ 36.4, I 26, (1 2 -1); 2θ 43.1, I 28, (2 0 2); 2θ 44.2, I 52, (1 2 -3); 2θ 63.6, I 15, (3 2 -1)

---

Record 7
For Li3MnBPO7, a GGA+U-relaxed structure gives the simulated XRD peak list in this record (a wavelength of 1.5418 Å).

Structure:
a b c (Å): 5.0127 6.6981 8.3125
angles (deg): 90.00 96.03 90.00
Space group P2_1/m (No. 11)
Symmetry-distinct sites (fractional):
Li: 0.2284 0.2500 0.0986 x2
Li: 0.2520 0.5063 0.7572 x4
Mn: 0.2180 0.7500 0.3260 x2
B: 0.3005 0.7500 0.0444 x2
P: 0.2509 0.2500 0.4149 x2
O: 0.0413 0.7500 0.0917 x2
O: 0.1247 0.2500 0.5771 x2
O: 0.1630 0.0688 0.3065 x4
O: 0.3706 0.7500 0.8921 x2
O: 0.4382 0.7500 0.5415 x2
O: 0.4943 0.7500 0.1816 x2

Main lines, by angle (2θ from 15° to 90°):
2θ 17.0, I 25, (0 1 1); 2θ 19.8, I 27, (1 0 -1); 2θ 21.8, I 39, (1 0 1); 2θ 26.6, I 100, (0 2 0); 2θ 36.5, I 15, (2 0 -1); 2θ 41.3, I 15, (1 1 3)

---

Q: What is the formula in the third record?
A: Li7Si2Ni3O12

---

Q: Which formula does entry 3 have?
A: Li7Si2Ni3O12